For BaMn2FeSi2O9, DFT lattice parameters and positions (GGA+U) gives the calculated powder diffractogram in this record (copper Kα).

Crystal structure
Cell lengths 20.6313, 7.0070, 5.4599 Å; angles 90.00, 96.17, 90.00 degrees
Space group C2/m (No. 12)
Asymmetric unit:
Ba 0.2195 0.0000 0.2381
Mn 0.0000 0.0000 0.5000
Mn 0.0000 0.2377 0.0000
Mn 0.0000 0.5000 0.5000
Fe 0.1413 0.5000 0.2067
Si 0.1363 0.2263 0.7026
O 0.0414 0.0000 0.2025
O 0.0490 0.5000 0.1729
O 0.0566 0.2415 0.6705
O 0.1605 0.0000 0.7132
O 0.1694 0.3097 0.9661
O 0.1706 0.3105 0.4696

Top 10 peaks for 10 to 80 degrees two-theta, by intensity:
- 2.787 Å, 32.1 deg, intensity 100, hkl 2 2 1
- 2.699 Å, 33.2 deg, intensity 76, hkl 2 0 -2
- 3.503 Å, 25.4 deg, intensity 73, hkl 3 1 1
- 3.100 Å, 28.8 deg, intensity 49, hkl 5 1 -1
- 3.782 Å, 23.5 deg, intensity 45, hkl 3 1 -1
- 3.541 Å, 25.2 deg, intensity 45, hkl 5 1 0
- 2.168 Å, 41.7 deg, intensity 37, hkl 6 2 1
- 3.419 Å, 26.1 deg, intensity 37, hkl 6 0 0
- 2.620 Å, 34.2 deg, intensity 36, hkl 4 2 -1
- 1.639 Å, 56.1 deg, intensity 30, hkl 10 2 1